For Ca3TlP, a cell relaxed with PBE gives the calculated powder diffraction line list in this record (Cu Kα).

Largest 12 diffraction maxima, low angle first, 2θ = 5–70°:
d_spacing, two_theta, I (rel.)
5.466, 16.22, 328
5.414, 16.37, 537
4.851, 18.29, 283
3.846, 23.12, 1000
3.757, 23.68, 268
3.176, 28.09, 520
3.096, 28.83, 605
2.733, 32.77, 378
2.707, 33.09, 441
2.399, 37.49, 369
2.186, 41.30, 352
1.923, 47.28, 374

Crystal structure
```
Ca3TlP
1.0
7.8057 0.0000 0.0000
0.0000 10.9313 0.0000
0.0000 0.0000 7.5149
Ca Tl P
12 4 4
Cartesian
0.1001 2.7328 0.5721 Ca
1.5630 0.4126 5.2340 Ca
1.5630 5.0530 5.2340 Ca
2.3398 5.8783 1.4766 Ca
2.3398 10.5187 1.4766 Ca
3.8027 8.1985 4.3295 Ca
4.0030 2.7328 3.1854 Ca
5.4658 0.4126 6.0383 Ca
5.4658 5.0530 6.0383 Ca
6.2427 5.8783 2.2808 Ca
6.2427 10.5187 2.2808 Ca
7.7055 8.1985 6.9428 Ca
0.4643 8.1985 3.5895 Tl
3.4385 2.7328 7.3469 Tl
4.3671 8.1985 0.1679 Tl
7.3414 2.7328 3.9254 Tl
0.0000 0.0000 0.0000 P
0.0000 5.4657 0.0000 P
3.9028 0.0000 3.7574 P
3.9028 5.4657 3.7574 P
```

For CaTlP, a cell relaxed with PBE gives the calculated powder diffraction line list in this record (Cu Kα).

Largest 12 diffraction maxima, low angle first, 2θ = 5–70°:
d_spacing, two_theta, I (rel.)
5.351, 16.57, 296
3.634, 24.49, 404
3.007, 29.71, 1000
2.676, 33.49, 101
2.155, 41.93, 323
2.098, 43.11, 259
1.954, 46.49, 141
1.721, 53.23, 197
1.651, 55.67, 144
1.601, 57.56, 137
1.503, 61.70, 105
1.359, 69.12, 67

Crystal structure
```
CaTlP
1.0
4.1967 0.0000 0.0000
-2.0984 3.6345 0.0000
0.0000 0.0000 5.3513
Ca Tl P
1 1 1
Cartesian
0.0000 0.0000 0.0000 Ca
2.0984 1.2115 2.4500 Tl
0.0000 2.4230 3.9231 P
```

For Ca5UP5, a cell relaxed with PBE gives the calculated powder diffraction line list in this record (Cu Kα).

Largest 12 diffraction maxima, low angle first, 2θ = 5–70°:
d_spacing, two_theta, I (rel.)
7.728, 11.45, 1000
5.871, 15.09, 448
5.181, 17.11, 887
3.375, 26.41, 427
3.309, 26.94, 483
2.936, 30.44, 742
2.908, 30.75, 636
2.842, 31.47, 717
2.290, 39.34, 296
2.042, 44.36, 428
2.034, 44.55, 679
1.656, 55.51, 240

Crystal structure
```
Ca5UP5
1.0
6.6309 -2.8429 0.0000
6.6309 2.8429 0.0000
-2.5752 0.0000 7.7279
Ca U P
5 1 5
Cartesian
0.0000 0.0000 0.0000 Ca
3.6881 0.0000 1.3503 Ca
2.6055 0.0000 4.9734 Ca
8.0810 0.0000 2.7544 Ca
6.9984 0.0000 6.3775 Ca
-1.2876 0.0000 3.8639 U
1.0947 0.0000 2.5589 P
-0.0294 0.0000 6.3323 P
5.3433 0.0000 3.8639 P
10.7160 0.0000 1.3956 P
9.5918 0.0000 5.1689 P
```

For Ca3UP4, a cell relaxed with PBE gives the calculated powder diffraction line list in this record (Cu Kα).

Largest 12 diffraction maxima, low angle first, 2θ = 5–70°:
d_spacing, two_theta, I (rel.)
8.174, 10.82, 421
6.621, 13.37, 633
5.152, 17.21, 666
4.718, 18.81, 327
3.483, 25.58, 339
3.333, 26.75, 523
3.310, 26.93, 176
2.889, 30.96, 506
2.878, 31.08, 1000
2.042, 44.35, 532
2.035, 44.51, 344
1.668, 55.05, 176

Crystal structure
```
Ca3UP4
1.0
7.0415 0.0000 0.0000
0.0000 8.1742 0.0000
-2.4078 0.0000 6.6493
Ca U P
6 2 8
Cartesian
-0.6020 0.9702 1.6623 Ca
-1.8059 3.0509 4.9870 Ca
-0.6020 5.1234 1.6623 Ca
-1.8059 7.2040 4.9870 Ca
1.7149 1.0066 4.9870 Ca
2.9188 7.1677 1.6623 Ca
2.9188 3.0148 1.6623 U
1.7149 5.1594 4.9870 U
1.7967 1.1743 0.1370 P
0.5928 6.9999 3.4616 P
0.7942 3.2132 3.3142 P
-0.4097 4.9610 6.6388 P
5.0434 3.2132 0.0105 P
3.8394 4.9610 3.3351 P
4.0409 1.1743 3.1877 P
2.8370 6.9999 6.5123 P
```

For Ca2YP, a cell relaxed with PBE gives the calculated powder diffraction line list in this record (Cu Kα).

Largest 12 diffraction maxima, low angle first, 2θ = 5–70°:
d_spacing, two_theta, I (rel.)
7.093, 12.48, 292
4.305, 20.63, 473
3.416, 26.08, 415
3.267, 27.30, 1000
2.890, 30.95, 987
2.623, 34.18, 613
2.504, 35.87, 569
2.364, 38.06, 278
2.259, 39.91, 324
2.045, 44.28, 288
1.712, 53.53, 316
1.674, 54.85, 259

Crystal structure
```
Ca2YP
1.0
3.8980 0.0000 0.0000
0.0000 4.5183 0.0000
0.0000 0.0000 14.1862
Ca Y P
4 2 2
Cartesian
0.0000 0.0000 0.0000 Ca
0.0000 2.2591 7.0931 Ca
1.9490 0.0000 4.8061 Ca
1.9490 2.2591 11.8992 Ca
1.9490 0.0000 9.2790 Y
1.9490 2.2591 2.1859 Y
0.0000 0.0000 11.2494 P
0.0000 2.2591 4.1563 P
```

For CaZnP3, a cell relaxed with PBE gives the calculated powder diffraction line list in this record (Cu Kα).

Largest 11 diffraction maxima, low angle first, 2θ = 5–70°:
d_spacing, two_theta, I (rel.)
4.721, 18.80, 538
3.338, 26.71, 853
2.725, 32.86, 194
2.360, 38.13, 1000
2.111, 42.84, 248
1.927, 47.16, 353
1.669, 55.02, 640
1.574, 58.67, 119
1.493, 62.18, 143
1.423, 65.59, 63
1.363, 68.90, 210

Crystal structure
```
CaZnP3
1.0
4.7207 0.0000 0.0000
0.0000 4.7207 0.0000
0.0000 0.0000 4.7207
Ca Zn P
1 1 3
Cartesian
0.0000 0.0000 0.0000 Ca
2.3604 2.3604 2.3604 Zn
0.0000 2.3604 2.3604 P
2.3604 0.0000 2.3604 P
2.3604 2.3604 0.0000 P
```